The following is a theoretical PXRD pattern of Tb2CdPb9. It was derived from a PBE-relaxed structure, using Cu Kα (λ = 1.5418 Å).

Main lines, in order of rising 2θ (15° ≤ 2θ ≤ 90°):
- 2θ 31.7, I 100
- 2θ 34.8, I 19
- 2θ 37.7, I 32
- 2θ 52.2, I 25
- 2θ 54.3, I 11
- 2θ 60.5, I 15
- 2θ 64.3, I 27
- 2θ 66.2, I 12
- 2θ 85.6, I 18
- 2θ 89.0, I 6

Atomic structure:
```
data_Tb2CdPb9
_space_group_name_H-M_alt 'P 4/m m m'
_space_group_IT_number 123
_space_group_name_Hall '-P 4 2'
_cell_length_a 4.7770
_cell_length_b 4.7770
_cell_length_c 15.4600
_cell_angle_alpha 90.00
_cell_angle_beta 90.00
_cell_angle_gamma 90.00
loop_
_atom_site_label
_atom_site_type_symbol
_atom_site_fract_x
_atom_site_fract_y
_atom_site_fract_z
_atom_site_occupancy
Tb1 Tb 0.0000 0.0000 0.1542 1
Cd1 Cd 0.0000 0.0000 0.5000 1
Pb1 Pb 0.0000 0.5000 0.0000 1
Pb2 Pb 0.0000 0.5000 0.3317 1
Pb3 Pb 0.5000 0.5000 0.1694 1
Pb4 Pb 0.5000 0.5000 0.5000 1
```

The following is a theoretical PXRD pattern of TlTcSe. It was derived from a PBE-relaxed structure, using Cu Kα (λ = 1.5418 Å).

Main lines, in order of rising 2θ (15° ≤ 2θ ≤ 90°):
- 2θ 26.8, I 17
- 2θ 34.1, I 100
- 2θ 40.7, I 11
- 2θ 41.6, I 44
- 2θ 52.1, I 16
- 2θ 55.5, I 22
- 2θ 62.7, I 10
- 2θ 64.8, I 13
- 2θ 66.8, I 14
- 2θ 71.1, I 12

Atomic structure:
```
data_TlTcSe
_space_group_name_H-M_alt 'P 3 m 1'
_space_group_IT_number 156
_cell_length_a 3.3100
_cell_length_b 3.3100
_cell_length_c 6.6555
_cell_angle_alpha 90.00
_cell_angle_beta 90.00
_cell_angle_gamma 120.00
loop_
_space_group_symop_operation_xyz
'x,y,z'
'-y,x-y,z'
'-x+y,-x,z'
'-y,-x,z'
'-x+y,y,z'
'x,x-y,z'
loop_
_atom_site_label
_atom_site_type_symbol
_atom_site_fract_x
_atom_site_fract_y
_atom_site_fract_z
_atom_site_occupancy
Tl1 Tl 0.0000 0.0000 0.0000 1
Tc1 Tc 0.6667 0.3333 0.6551 1
Se1 Se 0.3333 0.6667 0.4266 1
```

The following is a theoretical PXRD pattern of RbCd6Au3. It was derived from a PBE-relaxed structure, using Cu Kα (λ = 1.5418 Å).

Main lines, in order of rising 2θ (15° ≤ 2θ ≤ 90°):
- 2θ 21.6, I 31
- 2θ 27.7, I 43
- 2θ 30.1, I 58
- 2θ 33.8, I 46
- 2θ 36.7, I 100
- 2θ 38.4, I 90
- 2θ 38.7, I 66
- 2θ 40.3, I 75
- 2θ 42.0, I 33
- 2θ 48.1, I 45

Atomic structure:
```
data_RbCd6Au3
_space_group_name_H-M_alt 'P 1 21/m 1'
_space_group_IT_number 11
_cell_length_a 9.6420
_cell_length_b 4.9001
_cell_length_c 10.7369
_cell_angle_alpha 90.00
_cell_angle_beta 96.35
_cell_angle_gamma 90.00
loop_
_space_group_symop_operation_xyz
'x,y,z'
'-x,-y,-z'
'-x,y+1/2,-z'
'x,-y+1/2,z'
loop_
_atom_site_label
_atom_site_type_symbol
_atom_site_fract_x
_atom_site_fract_y
_atom_site_fract_z
_atom_site_occupancy
Rb1 Rb 0.0412 0.2500 0.3192 1
Cd1 Cd 0.1107 0.7500 0.0384 1
Cd2 Cd 0.2594 0.2500 0.6624 1
Cd3 Cd 0.3119 0.7500 0.8208 1
Cd4 Cd 0.3183 0.7500 0.2775 1
Cd5 Cd 0.4083 0.2500 0.4311 1
Cd6 Cd 0.4885 0.2500 0.9183 1
Au1 Au 0.1790 0.2500 0.9138 1
Au2 Au 0.2912 0.7500 0.5382 1
Au3 Au 0.3756 0.2500 0.1600 1
```

The following is a theoretical PXRD pattern of PrGe4Pd2. It was derived from a PBE-relaxed structure, using Cu Kα (λ = 1.5418 Å).

Main lines, in order of rising 2θ (15° ≤ 2θ ≤ 90°):
- 2θ 34.6, I 100
- 2θ 35.1, I 70
- 2θ 36.7, I 15
- 2θ 38.1, I 30
- 2θ 40.6, I 53
- 2θ 42.5, I 15
- 2θ 45.6, I 18
- 2θ 45.9, I 21
- 2θ 57.0, I 18
- 2θ 66.4, I 16

Atomic structure:
```
data_PrGe4Pd2
_space_group_name_H-M_alt 'P n m a'
_space_group_IT_number 62
_cell_length_a 17.5950
_cell_length_b 4.4397
_cell_length_c 6.8445
_cell_angle_alpha 90.00
_cell_angle_beta 90.00
_cell_angle_gamma 90.00
loop_
_space_group_symop_operation_xyz
'x,y,z'
'-x,-y,-z'
'-x+1/2,-y,z+1/2'
'x+1/2,y,-z+1/2'
'x+1/2,-y+1/2,-z+1/2'
'-x+1/2,y+1/2,z+1/2'
'-x,y+1/2,-z'
'x,-y+1/2,z'
loop_
_atom_site_label
_atom_site_type_symbol
_atom_site_fract_x
_atom_site_fract_y
_atom_site_fract_z
_atom_site_occupancy
Pr1 Pr 0.1423 0.2500 0.0136 1
Ge1 Ge 0.0363 0.7500 0.8534 1
Ge2 Ge 0.0631 0.2500 0.4695 1
Ge3 Ge 0.1778 0.7500 0.3249 1
Ge4 Ge 0.1927 0.7500 0.7295 1
Pd1 Pd 0.0290 0.7500 0.2378 1
Pd2 Pd 0.2101 0.2500 0.5351 1
```